CsHoMo2O8: calculated XRD peak list (λ = 1.5418 Å (Cu Kα)), based on a structure optimized by DFT (PBE+U).
Neutral-atom scattering factors, no anomalous dispersion.

Crystal structure
```
data_CsHoMo2O8
_cell_length_a 5.088
_cell_length_b 9.755
_cell_length_c 8.157
_cell_angle_alpha 90.00
_cell_angle_beta 90.00
_cell_angle_gamma 90.00
_space_group_name_H-M_alt 'P c c m'
_space_group_IT_number 49
_space_group_name_Hall '-P 2 2c'
loop_
_atom_site_label
_atom_site_fract_x
_atom_site_fract_y
_atom_site_fract_z
_atom_site_occupancy
Cs1 0.000 0.000 0.250 1
Ho1 0.000 0.500 0.250 1
Mo1 0.476 0.309 0.000 1
O1 0.248 0.435 0.500 1
O2 0.259 0.319 0.175 1
O3 0.391 0.143 0.500 1
```

Most intense lines, 2θ = 5–70°, by intensity:
Position (°2θ)	I_rel	h k l
28.0	100	1 0 2
25.3	98	1 2 0
28.5	57	0 2 2
9.1	53	0 1 0
46.0	44	2 2 2
51.8	26	1 2 4
35.3	19	2 0 0
46.9	16	1 4 2
44.4	15	0 0 4
64.4	15	1 6 2